Theoretical powder X-ray diffraction pattern
Compound: Li3V2O4F2
Radiation: Cu Kα, 1.54184 Å
Structure: a cell relaxed with GGA+U
Neutral-atom scattering factors, no anomalous dispersion.

Peak list (6 most intense, 5 to 70 degrees two-theta, most intense first)
| index | 2θ/deg | I_rel |
| --- | --- | --- |
| 0 0 1 | 11.86 | 100 |
| 0 0 2 | 23.86 | 35 |
| 0 2 -2 | 40.98 | 22 |
| 2 0 -1 | 40.62 | 20 |
| 2 2 3 | 45.89 | 15 |
| 0 2 0 | 34.14 | 12 |

Structural model:
Lattice parameters (Å, degrees): 5.916 5.919 7.776 85.21 73.83 62.77
Sites, in units of the cell vectors:
1 Li 0.098 0.434 0.147
2 Li 0.325 0.050 0.896
3 Li 0.384 0.567 0.869
4 Li 0.616 0.433 0.131
5 Li 0.675 0.950 0.104
6 Li 0.902 0.566 0.853
7 V 0.249 0.248 0.501
8 V 0.251 0.751 0.497
9 V 0.749 0.249 0.503
10 V 0.751 0.752 0.499
11 O 0.140 0.564 0.361
12 O 0.144 0.086 0.368
13 O 0.351 0.424 0.642
14 O 0.370 0.927 0.640
15 O 0.630 0.073 0.360
16 O 0.649 0.576 0.358
17 O 0.856 0.914 0.632
18 O 0.860 0.436 0.639
19 F 0.020 0.719 0.992
20 F 0.469 0.263 0.013
21 F 0.531 0.737 0.987
22 F 0.980 0.281 0.008